# 1
Calculated powder diffraction line list of Na2GaBiI6 for Cu Kα X-rays, from a crystal structure in Alexandria, relaxed with PBE.

Atomic structure:
```
Na2GaBiI6
1.0
4.0346 2.3294 7.3497
-4.0346 2.3294 7.3497
0.0000 -4.6587 7.3497
Na Ga Bi I
2 1 1 6
Direct
0.0000 0.0000 0.0000
0.4914 0.4914 0.4914
0.1876 0.1876 0.1876
0.6812 0.6812 0.6812
0.0682 0.4226 0.7858
0.2899 0.8989 0.5939
0.4226 0.7858 0.0682
0.5939 0.2899 0.8989
0.7858 0.0682 0.4226
0.8989 0.5939 0.2899
```

The 10 most intense peaks (5° ≤ 2θ ≤ 70°), sorted by position:
13.3 deg, intensity 13; 15.0 deg, intensity 37; 25.2 deg, intensity 100; 30.3 deg, intensity 12; 33.0 deg, intensity 55; 38.7 deg, intensity 40; 43.2 deg, intensity 24; 46.7 deg, intensity 15; 51.7 deg, intensity 14; 64.6 deg, intensity 15

# 2
Calculated powder diffraction line list of In14GaBi for Cu Kα X-rays, from a crystal structure in Alexandria, relaxed with PBE.

Atomic structure:
```
In14GaBi
1.0
8.9919 0.0000 0.0000
0.0000 4.9146 4.9141
0.0000 -4.9146 4.9141
In Ga Bi
14 1 1
Direct
0.0000 0.0000 0.0000
0.0000 0.9999 0.5000
0.0000 0.5000 0.9999
0.0000 0.5000 0.5000
0.2504 0.2442 0.2442
0.2504 0.2440 0.7556
0.2504 0.7556 0.2440
0.2505 0.7557 0.7557
0.5000 0.0000 0.5000
0.5000 0.5000 0.0000
0.7496 0.2442 0.2442
0.7496 0.2440 0.7556
0.7496 0.7556 0.2440
0.7495 0.7557 0.7557
0.5000 0.0007 0.0007
0.5000 0.5001 0.5001
```

The 10 most intense peaks (5° ≤ 2θ ≤ 70°), sorted by position:
16.1 deg, intensity 2; 23.6 deg, intensity 2; 30.4 deg, intensity 1; 32.6 deg, intensity 100; 36.6 deg, intensity 36; 40.1 deg, intensity 14; 52.7 deg, intensity 12; 55.4 deg, intensity 21; 63.3 deg, intensity 28; 68.2 deg, intensity 22